This entry pairs a crystal structure of BPRhCl2 with its simulated X-ray diffraction stick pattern. Radiation: Cu Kα (weighted mean of Kα1 and Kα2). Structure: DFT lattice parameters and positions (PBE).

Principal peaks in the range 2θ = 10–90°, in order of rising 2θ:
2θ 10.13, intensity 100, hkl 0 0 1; 2θ 20.35, intensity 14, hkl 0 0 2; 2θ 30.85, intensity 10, hkl 1 1 0; 2θ 30.99, intensity 19, hkl 1 1 -1; 2θ 32.81, intensity 12, hkl 2 0 1; 2θ 33.91, intensity 8, hkl 2 0 -3; 2θ 34.44, intensity 19, hkl 1 1 -2; 2θ 40.08, intensity 8, hkl 2 0 2; 2θ 40.45, intensity 18, hkl 1 1 -3; 2θ 49.08, intensity 11, hkl 3 1 -1

Crystal structure
```
data_BPRhCl2
_chemical_formula_sum 'B2 P2 Rh2 Cl4'
_cell_length_a 6.8168
_cell_length_b 3.2489
_cell_length_c 9.2703
_cell_angle_alpha 90.00
_cell_angle_beta 109.67
_cell_angle_gamma 90.00
_symmetry_space_group_name_H-M 'C 1 m 1'
_symmetry_Int_Tables_number 8
loop_
_symmetry_equiv_pos_as_xyz
'x,y,z'
'x,-y,z'
'x+1/2,y+1/2,z'
'x+1/2,-y+1/2,z'
loop_
_atom_site_label
_atom_site_type_symbol
_atom_site_fract_x
_atom_site_fract_y
_atom_site_fract_z
_atom_site_occupancy
B1 B 0.0000 0.0000 0.0000 1
P1 P 0.3719 0.0000 0.9038 1
Rh1 Rh 0.0265 0.0000 0.7633 1
Cl1 Cl 0.1449 0.5000 0.5901 1
Cl2 Cl 0.1882 0.0000 0.1847 1
```

This entry pairs a crystal structure of Pm6Sn12Hg with its simulated X-ray diffraction stick pattern. Radiation: Cu Kα (weighted mean of Kα1 and Kα2). Structure: DFT lattice parameters and positions (PBE).

Principal peaks in the range 2θ = 10–90°, in order of rising 2θ:
2θ 23.40, intensity 16, hkl 3 0 0; 2θ 28.10, intensity 50, hkl 2 -1 3; 2θ 32.46, intensity 17, hkl 4 0 1; 2θ 32.75, intensity 22, hkl 4 -1 2; 2θ 34.18, intensity 87, hkl 0 3 3; 2θ 36.09, intensity 100, hkl 1 4 0; 2θ 36.88, intensity 50, hkl 4 -2 3; 2θ 56.42, intensity 28, hkl 5 2 3; 2θ 63.50, intensity 26, hkl 1 4 6; 2θ 67.13, intensity 20, hkl 1 7 3

Crystal structure
```
data_Pm6Sn12Hg
_chemical_formula_sum 'Pm18 Sn36 Hg3'
_cell_length_a 13.1698
_cell_length_b 13.1698
_cell_length_c 10.8740
_cell_angle_alpha 90.00
_cell_angle_beta 90.00
_cell_angle_gamma 120.00
_symmetry_space_group_name_H-M 'R -3'
_symmetry_Int_Tables_number 148
_symmetry_space_group_name_Hall '-R 3'
loop_
_atom_site_label
_atom_site_type_symbol
_atom_site_fract_x
_atom_site_fract_y
_atom_site_fract_z
_atom_site_occupancy
Pm1 Pm 0.0509 0.2045 0.2581 1
Sn1 Sn 0.0551 0.2505 0.5684 1
Sn2 Sn 0.0694 0.2287 0.9330 1
Hg1 Hg 0.0000 0.0000 0.5000 1
```

This entry pairs a crystal structure of Rb2TlV with its simulated X-ray diffraction stick pattern. Radiation: Cu Kα (weighted mean of Kα1 and Kα2). Structure: DFT lattice parameters and positions (PBE).

Principal peaks in the range 2θ = 10–90°, in order of rising 2θ:
2θ 13.72, intensity 76, hkl 2 0 0; 2θ 19.45, intensity 34, hkl 2 2 0; 2θ 21.78, intensity 26, hkl 3 1 0; 2θ 22.40, intensity 100, hkl 2 1 1; 2θ 27.65, intensity 29, hkl 4 0 0; 2θ 30.99, intensity 71, hkl 4 2 0; 2θ 34.25, intensity 33, hkl 1 1 2; 2θ 38.57, intensity 25, hkl 5 0 1; 2θ 39.69, intensity 39, hkl 3 1 2; 2θ 49.05, intensity 22, hkl 5 1 2

Crystal structure
```
data_Rb2TlV
_chemical_formula_sum 'Rb8 Tl4 V4'
_cell_length_a 12.9068
_cell_length_b 12.9068
_cell_length_c 5.4659
_cell_angle_alpha 90.00
_cell_angle_beta 90.00
_cell_angle_gamma 90.00
_symmetry_space_group_name_H-M 'I -4 2 d'
_symmetry_Int_Tables_number 122
_symmetry_space_group_name_Hall 'I -4 2bw'
loop_
_atom_site_label
_atom_site_type_symbol
_atom_site_fract_x
_atom_site_fract_y
_atom_site_fract_z
_atom_site_occupancy
Rb1 Rb 0.0972 0.7500 0.1250 1
Tl1 Tl 0.0000 0.0000 0.5000 1
V1 V 0.0000 0.0000 0.0000 1
```

This entry pairs a crystal structure of Ce2Sn3Ge3 with its simulated X-ray diffraction stick pattern. Radiation: Cu Kα (weighted mean of Kα1 and Kα2). Structure: DFT lattice parameters and positions (PBE).

Principal peaks in the range 2θ = 10–90°, in order of rising 2θ:
2θ 34.35, intensity 100, hkl 1 1 2; 2θ 38.47, intensity 18, hkl 0 0 4; 2θ 39.57, intensity 17, hkl 0 2 0; 2θ 41.51, intensity 15, hkl 2 0 0; 2θ 56.37, intensity 12, hkl 0 2 4; 2θ 57.88, intensity 11, hkl 2 0 4; 2θ 66.95, intensity 14, hkl 1 1 6; 2θ 68.45, intensity 14, hkl 1 3 2; 2θ 71.14, intensity 12, hkl 3 1 2; 2θ 72.39, intensity 11, hkl 2 2 4

Crystal structure
```
data_Ce2Sn3Ge3
_chemical_formula_sum 'Ce2 Sn3 Ge3'
_cell_length_a 4.3505
_cell_length_b 4.5551
_cell_length_c 9.3608
_cell_angle_alpha 90.00
_cell_angle_beta 90.00
_cell_angle_gamma 90.00
_symmetry_space_group_name_H-M 'P m m m'
_symmetry_Int_Tables_number 47
loop_
_symmetry_equiv_pos_as_xyz
'x,y,z'
'-x,-y,-z'
'-x,-y,z'
'x,y,-z'
'x,-y,-z'
'-x,y,z'
'-x,y,-z'
'x,-y,z'
loop_
_atom_site_label
_atom_site_type_symbol
_atom_site_fract_x
_atom_site_fract_y
_atom_site_fract_z
_atom_site_occupancy
Ce1 Ce 0.0000 0.0000 0.2394 1
Sn1 Sn 0.0000 0.5000 0.0000 1
Sn2 Sn 0.0000 0.5000 0.5000 1
Sn3 Sn 0.5000 0.0000 0.5000 1
Ge1 Ge 0.5000 0.0000 0.0000 1
Ge2 Ge 0.5000 0.5000 0.2410 1
```

This entry pairs a crystal structure of Sb5Cl with its simulated X-ray diffraction stick pattern. Radiation: Cu Kα (weighted mean of Kα1 and Kα2). Structure: DFT lattice parameters and positions (PBE).

Principal peaks in the range 2θ = 10–90°, in order of rising 2θ:
2θ 15.53, intensity 7, hkl 0 0 2; 2θ 33.41, intensity 100, hkl 1 1 0; 2θ 46.47, intensity 4, hkl 1 0 5; 2θ 47.84, intensity 5, hkl 0 0 6; 2θ 48.05, intensity 12, hkl 2 0 0; 2θ 59.63, intensity 10, hkl 1 1 6; 2θ 59.77, intensity 24, hkl 2 1 3; 2θ 70.14, intensity 6, hkl 2 0 6; 2θ 70.30, intensity 4, hkl 2 2 0; 2θ 80.12, intensity 10, hkl 3 1 0

Crystal structure
```
data_Sb5Cl
_chemical_formula_sum 'Sb5 Cl1'
_cell_length_a 3.7873
_cell_length_b 3.7873
_cell_length_c 11.4091
_cell_angle_alpha 90.00
_cell_angle_beta 90.00
_cell_angle_gamma 90.00
_symmetry_space_group_name_H-M 'P 4/m m m'
_symmetry_Int_Tables_number 123
_symmetry_space_group_name_Hall '-P 4 2'
loop_
_atom_site_label
_atom_site_type_symbol
_atom_site_fract_x
_atom_site_fract_y
_atom_site_fract_z
_atom_site_occupancy
Sb1 Sb 0.0000 0.0000 0.0000 1
Sb2 Sb 0.0000 0.0000 0.3151 1
Sb3 Sb 0.5000 0.5000 0.1780 1
Cl1 Cl 0.5000 0.5000 0.5000 1
```

This entry pairs a crystal structure of Sm3P2Pt9Au with its simulated X-ray diffraction stick pattern. Radiation: Cu Kα (weighted mean of Kα1 and Kα2). Structure: DFT lattice parameters and positions (PBE).

Principal peaks in the range 2θ = 10–90°, in order of rising 2θ:
2θ 19.76, intensity 17, hkl 1 0 1; 2θ 24.41, intensity 47, hkl 0 0 3; 2θ 30.50, intensity 13, hkl 0 1 3; 2θ 35.57, intensity 15, hkl 1 1 2; 2θ 37.42, intensity 74, hkl 0 2 1; 2θ 37.62, intensity 13, hkl 0 1 4; 2θ 40.15, intensity 100, hkl 2 0 2; 2θ 49.82, intensity 27, hkl 0 2 4; 2θ 65.64, intensity 24, hkl 2 2 0; 2θ 71.16, intensity 14, hkl 2 2 3

Crystal structure
```
data_Sm3P2Pt9Au
_chemical_formula_sum 'Sm3 P2 Pt9 Au1'
_cell_length_a 5.6891
_cell_length_b 5.6891
_cell_length_c 10.9388
_cell_angle_alpha 90.00
_cell_angle_beta 90.00
_cell_angle_gamma 120.00
_symmetry_space_group_name_H-M 'P -3 m 1'
_symmetry_Int_Tables_number 164
_symmetry_space_group_name_Hall '-P 3 2"'
loop_
_atom_site_label
_atom_site_type_symbol
_atom_site_fract_x
_atom_site_fract_y
_atom_site_fract_z
_atom_site_occupancy
Sm1 Sm 0.0000 0.0000 0.0000 1
Sm2 Sm 0.3333 0.6667 0.5909 1
P1 P 0.3333 0.6667 0.1576 1
Pt1 Pt 0.0000 0.5000 0.0000 1
Pt2 Pt 0.1633 0.3267 0.3018 1
Au1 Au 0.0000 0.0000 0.5000 1
```

This entry pairs a crystal structure of LiTbPrSi with its simulated X-ray diffraction stick pattern. Radiation: Cu Kα (weighted mean of Kα1 and Kα2). Structure: DFT lattice parameters and positions (PBE).

Principal peaks in the range 2θ = 10–90°, in order of rising 2θ:
2θ 21.35, intensity 2, hkl 1 1 1; 2θ 24.71, intensity 79, hkl 2 0 0; 2θ 35.22, intensity 100, hkl 2 2 0; 2θ 43.50, intensity 24, hkl 2 2 2; 2θ 50.66, intensity 18, hkl 4 0 0; 2θ 57.16, intensity 32, hkl 4 2 0; 2θ 63.21, intensity 36, hkl 4 2 2; 2θ 74.47, intensity 11, hkl 4 4 0; 2θ 79.85, intensity 15, hkl 6 0 0; 2θ 85.14, intensity 16, hkl 6 2 0

Crystal structure
```
data_LiTbPrSi
_chemical_formula_sum 'Li4 Tb4 Pr4 Si4'
_cell_length_a 7.2071
_cell_length_b 7.2071
_cell_length_c 7.2071
_cell_angle_alpha 90.00
_cell_angle_beta 90.00
_cell_angle_gamma 90.00
_symmetry_space_group_name_H-M 'F -4 3 m'
_symmetry_Int_Tables_number 216
_symmetry_space_group_name_Hall 'F -4 2 3'
loop_
_atom_site_label
_atom_site_type_symbol
_atom_site_fract_x
_atom_site_fract_y
_atom_site_fract_z
_atom_site_occupancy
Li1 Li 0.0000 0.0000 0.0000 1
Tb1 Tb 0.2500 0.2500 0.7500 1
Pr1 Pr 0.2500 0.2500 0.2500 1
Si1 Si 0.0000 0.0000 0.5000 1
```

This entry pairs a crystal structure of Nd8Dy6Pu with its simulated X-ray diffraction stick pattern. Radiation: Cu Kα (weighted mean of Kα1 and Kα2). Structure: DFT lattice parameters and positions (PBE).

Principal peaks in the range 2θ = 10–90°, in order of rising 2θ:
2θ 27.41, intensity 17, hkl 1 2 0; 2θ 30.21, intensity 19, hkl 0 0 2; 2θ 31.37, intensity 100, hkl 3 -1 1; 2θ 41.24, intensity 23, hkl 1 2 2; 2θ 48.45, intensity 22, hkl 4 1 0; 2θ 54.39, intensity 20, hkl 1 2 3; 2θ 58.17, intensity 16, hkl 4 1 2; 2θ 58.86, intensity 15, hkl 2 4 1; 2θ 79.61, intensity 10, hkl 7 0 1; 2θ 83.11, intensity 9, hkl 5 -4 4

Crystal structure
```
data_Nd8Dy6Pu
_chemical_formula_sum 'Nd8 Dy6 Pu1'
_cell_length_a 9.9416
_cell_length_b 9.9416
_cell_length_c 5.9170
_cell_angle_alpha 90.00
_cell_angle_beta 90.00
_cell_angle_gamma 120.00
_symmetry_space_group_name_H-M 'P 3'
_symmetry_Int_Tables_number 143
loop_
_symmetry_equiv_pos_as_xyz
'x,y,z'
'-y,x-y,z'
'-x+y,-x,z'
loop_
_atom_site_label
_atom_site_type_symbol
_atom_site_fract_x
_atom_site_fract_y
_atom_site_fract_z
_atom_site_occupancy
Nd1 Nd 0.0000 0.0000 0.0000 1
Nd2 Nd 0.0676 0.6154 0.4729 1
Nd3 Nd 0.1181 0.4001 0.9932 1
Nd4 Nd 0.6667 0.3333 0.4662 1
Dy1 Dy 0.2394 0.0488 0.4850 1
Dy2 Dy 0.4274 0.2853 0.9810 1
Pu1 Pu 0.3333 0.6667 0.7347 1
```

This entry pairs a crystal structure of LiMg3Sn12 with its simulated X-ray diffraction stick pattern. Radiation: Cu Kα (weighted mean of Kα1 and Kα2). Structure: DFT lattice parameters and positions (PBE).

Principal peaks in the range 2θ = 10–90°, in order of rising 2θ:
2θ 18.98, intensity 13, hkl 1 0 0; 2θ 26.84, intensity 12, hkl 1 0 4; 2θ 33.08, intensity 100, hkl 1 1 4; 2θ 38.14, intensity 17, hkl 0 0 8; 2θ 38.51, intensity 33, hkl 2 0 0; 2θ 55.32, intensity 24, hkl 2 0 8; 2θ 55.60, intensity 12, hkl 2 2 0; 2θ 65.74, intensity 14, hkl 1 1 12; 2θ 66.24, intensity 28, hkl 3 1 4; 2θ 69.42, intensity 12, hkl 2 2 8

Crystal structure
```
data_LiMg3Sn12
_chemical_formula_sum 'Li1 Mg3 Sn12'
_cell_length_a 4.6755
_cell_length_b 4.6755
_cell_length_c 18.8767
_cell_angle_alpha 90.00
_cell_angle_beta 90.00
_cell_angle_gamma 90.00
_symmetry_space_group_name_H-M 'P 4/m m m'
_symmetry_Int_Tables_number 123
_symmetry_space_group_name_Hall '-P 4 2'
loop_
_atom_site_label
_atom_site_type_symbol
_atom_site_fract_x
_atom_site_fract_y
_atom_site_fract_z
_atom_site_occupancy
Li1 Li 0.0000 0.0000 0.0000 1
Mg1 Mg 0.0000 0.0000 0.2489 1
Mg2 Mg 0.0000 0.0000 0.5000 1
Sn1 Sn 0.0000 0.5000 0.1221 1
Sn2 Sn 0.0000 0.5000 0.3743 1
Sn3 Sn 0.5000 0.5000 0.0000 1
Sn4 Sn 0.5000 0.5000 0.2488 1
Sn5 Sn 0.5000 0.5000 0.5000 1
```

This entry pairs a crystal structure of Ce2Te4O11 with its simulated X-ray diffraction stick pattern. Radiation: Cu Kα (weighted mean of Kα1 and Kα2). Structure: DFT lattice parameters and positions (PBE).

Principal peaks in the range 2θ = 10–90°, in order of rising 2θ:
2θ 25.90, intensity 100, hkl 1 1 3; 2θ 28.86, intensity 32, hkl 4 0 0; 2θ 29.04, intensity 66, hkl 3 1 -3; 2θ 32.84, intensity 21, hkl 2 0 -6; 2θ 33.71, intensity 18, hkl 0 2 0; 2θ 39.96, intensity 15, hkl 2 0 6; 2θ 44.96, intensity 21, hkl 4 2 0; 2θ 47.44, intensity 18, hkl 5 1 3; 2θ 47.78, intensity 18, hkl 2 2 -6; 2θ 52.76, intensity 14, hkl 1 1 -9

Crystal structure
```
data_Ce2Te4O11
_chemical_formula_sum 'Ce8 Te16 O44'
_cell_length_a 12.8037
_cell_length_b 5.3174
_cell_length_c 16.6306
_cell_angle_alpha 90.00
_cell_angle_beta 104.89
_cell_angle_gamma 90.00
_symmetry_space_group_name_H-M 'C 1 2/c 1'
_symmetry_Int_Tables_number 15
loop_
_symmetry_equiv_pos_as_xyz
'x,y,z'
'-x,-y,-z'
'-x,y,-z+1/2'
'x,-y,z+1/2'
'x+1/2,y+1/2,z'
'-x+1/2,-y+1/2,-z'
'-x+1/2,y+1/2,-z+1/2'
'x+1/2,-y+1/2,z+1/2'
loop_
_atom_site_label
_atom_site_type_symbol
_atom_site_fract_x
_atom_site_fract_y
_atom_site_fract_z
_atom_site_occupancy
Ce1 Ce 0.1184 0.2482 0.0377 1
Te1 Te 0.1190 0.2235 0.7004 1
Te2 Te 0.1315 0.2196 0.3733 1
O1 O 0.0000 0.3530 0.7500 1
O2 O 0.0246 0.0845 0.6014 1
O3 O 0.0734 0.3826 0.4545 1
O4 O 0.1451 0.4499 0.1683 1
O5 O 0.2068 0.0411 0.9441 1
O6 O 0.2470 0.0693 0.6279 1
```

This entry pairs a crystal structure of Cs8Au3ClO2 with its simulated X-ray diffraction stick pattern. Radiation: Cu Kα (weighted mean of Kα1 and Kα2). Structure: DFT lattice parameters and positions (PBE).

Principal peaks in the range 2θ = 10–90°, in order of rising 2θ:
2θ 20.24, intensity 35, hkl 1 1 0; 2θ 24.86, intensity 100, hkl 0 2 1; 2θ 26.22, intensity 45, hkl 1 1 2; 2θ 27.52, intensity 36, hkl 1 0 3; 2θ 28.78, intensity 33, hkl 2 0 2; 2θ 35.44, intensity 18, hkl 3 0 0; 2θ 39.33, intensity 17, hkl 0 3 2; 2θ 40.25, intensity 24, hkl 2 1 3; 2θ 41.16, intensity 48, hkl 2 2 0; 2θ 48.68, intensity 31, hkl 4 0 1

Crystal structure
```
data_Cs8Au3ClO2
_chemical_formula_sum 'Cs8 Au3 Cl1 O2'
_cell_length_a 8.7729
_cell_length_b 8.7729
_cell_length_c 10.7491
_cell_angle_alpha 90.00
_cell_angle_beta 90.00
_cell_angle_gamma 120.00
_symmetry_space_group_name_H-M 'P -3 m 1'
_symmetry_Int_Tables_number 164
_symmetry_space_group_name_Hall '-P 3 2"'
loop_
_atom_site_label
_atom_site_type_symbol
_atom_site_fract_x
_atom_site_fract_y
_atom_site_fract_z
_atom_site_occupancy
Cs1 Cs 0.1752 0.3503 0.2987 1
Cs2 Cs 0.3333 0.6667 0.9422 1
Au1 Au 0.0000 0.0000 0.0000 1
Au2 Au 0.3333 0.6667 0.6003 1
Cl1 Cl 0.0000 0.0000 0.5000 1
O1 O 0.3333 0.6667 0.1792 1
```

This entry pairs a crystal structure of Ti3H3Rh with its simulated X-ray diffraction stick pattern. Radiation: Cu Kα (weighted mean of Kα1 and Kα2). Structure: DFT lattice parameters and positions (PBE).

Principal peaks in the range 2θ = 10–90°, in order of rising 2θ:
2θ 24.14, intensity 30, hkl 1 1 0; 2θ 34.41, intensity 46, hkl 2 0 0; 2θ 38.62, intensity 47, hkl 2 1 0; 2θ 42.48, intensity 100, hkl 2 1 1; 2θ 64.44, intensity 9, hkl 3 2 0; 2θ 67.19, intensity 48, hkl 3 2 1; 2θ 72.53, intensity 12, hkl 4 0 0; 2θ 82.81, intensity 13, hkl 4 2 0; 2θ 85.33, intensity 8, hkl 4 2 1; 2θ 87.84, intensity 11, hkl 3 3 2

Crystal structure
```
data_Ti3H3Rh
_chemical_formula_sum 'Ti6 H6 Rh2'
_cell_length_a 5.2130
_cell_length_b 5.2130
_cell_length_c 5.2130
_cell_angle_alpha 90.00
_cell_angle_beta 90.00
_cell_angle_gamma 90.00
_symmetry_space_group_name_H-M 'P m -3 n'
_symmetry_Int_Tables_number 223
_symmetry_space_group_name_Hall '-P 4n 2 3'
loop_
_atom_site_label
_atom_site_type_symbol
_atom_site_fract_x
_atom_site_fract_y
_atom_site_fract_z
_atom_site_occupancy
Ti1 Ti 0.0000 0.2500 0.5000 1
H1 H 0.0000 0.5000 0.2500 1
Rh1 Rh 0.0000 0.0000 0.0000 1
```